Theoretical XRD peak list of Ba2MnSi2ClO7 for Cu Ka, from a PBE+U-relaxed structure.
Kinematic intensities with the Lorentz-polarization factor, no thermal factor.

Structural model:
Cell lengths 8.617, 8.617, 5.504 Å; angles 90.00, 90.00, 90.00 degrees
Atoms (fractional coordinates):
Ba (0.170, 0.330, 0.000)
Ba (0.330, 0.830, 0.000)
Ba (0.670, 0.170, 0.000)
Ba (0.830, 0.670, 0.000)
Mn (0.000, 0.000, 0.616)
Mn (0.500, 0.500, 0.616)
Si (0.129, 0.629, 0.522)
Si (0.371, 0.129, 0.522)
Si (0.629, 0.871, 0.522)
Si (0.871, 0.371, 0.522)
Cl (0.000, 0.000, 0.150)
Cl (0.500, 0.500, 0.150)
O (0.000, 0.500, 0.631)
O (0.079, 0.792, 0.660)
O (0.130, 0.630, 0.230)
O (0.208, 0.079, 0.660)
O (0.292, 0.579, 0.660)
O (0.370, 0.130, 0.230)
O (0.421, 0.292, 0.660)
O (0.500, 0.000, 0.631)
O (0.579, 0.708, 0.660)
O (0.630, 0.870, 0.230)
O (0.708, 0.421, 0.660)
O (0.792, 0.921, 0.660)
O (0.870, 0.370, 0.230)
O (0.921, 0.208, 0.660)

Largest 10 diffraction maxima, by angle, 5 to 70 degrees two-theta:
d (Å)  2θ (°)  I_rel
5.504  16.10  17
3.854  23.08  15
3.393  26.27  28
3.157  28.27  100
2.752  32.53  15
2.725  32.87  30
2.240  40.27  23
2.090  43.29  15
1.954  46.48  16
1.657  55.47  13